1.
The following is a calculated X-ray diffraction stick pattern of CsGa7. It was derived from a DFT-relaxed cell (GGA-PBE, Alexandria), using copper Kα.
No peak broadening, texture or thermal motion is included.

The 8 most intense peaks (2θ = 10–80°), by angle:
hkl 1 1 3, 27.96 deg, d = 3.191 Å, intensity 84
hkl 0 1 8, 28.83 deg, d = 3.097 Å, intensity 100
hkl 2 0 2, 31.18 deg, d = 2.869 Å, intensity 59
hkl 1 2 5, 43.78 deg, d = 2.068 Å, intensity 80
hkl 2 0 11, 46.18 deg, d = 1.966 Å, intensity 34
hkl 3 0 3, 47.55 deg, d = 1.912 Å, intensity 44
hkl 2 2 0, 54.32 deg, d = 1.689 Å, intensity 36
hkl 2 3 8, 75.46 deg, d = 1.260 Å, intensity 25

Cell and atoms:
```
data_CsGa7
_chemical_formula_sum 'Cs6 Ga42'
_cell_length_a 6.7564
_cell_length_b 6.7564
_cell_length_c 29.1982
_cell_angle_alpha 90.00
_cell_angle_beta 90.00
_cell_angle_gamma 120.00
_space_group_name_H-M_alt 'R -3 m'
_space_group_IT_number 166
_space_group_name_Hall '-R 3 2"'
loop_
_atom_site_label
_atom_site_type_symbol
_atom_site_fract_x
_atom_site_fract_y
_atom_site_fract_z
Cs1 Cs 0.0000 0.0000 0.1945
Ga1 Ga 0.0000 0.0000 0.4552
Ga2 Ga 0.0539 0.5269 0.7424
Ga3 Ga 0.0665 0.5332 0.3514
```

2.
The following is a calculated X-ray diffraction stick pattern of Cs8Ga11. It was derived from a DFT-relaxed cell (GGA-PBE, Alexandria), using copper Kα.
No peak broadening, texture or thermal motion is included.

The 8 most intense peaks (2θ = 10–80°), by angle:
hkl 0 1 2, 10.68 deg, d = 8.283 Å, intensity 40
hkl 1 1 6, 20.38 deg, d = 4.358 Å, intensity 67
hkl 1 1 9, 23.43 deg, d = 3.797 Å, intensity 80
hkl 2 0 8, 24.57 deg, d = 3.624 Å, intensity 64
hkl 2 1 1, 27.05 deg, d = 3.297 Å, intensity 58
hkl 3 0 0, 30.69 deg, d = 2.913 Å, intensity 80
hkl 1 1 15, 31.36 deg, d = 2.852 Å, intensity 100
hkl 1 2 23, 48.90 deg, d = 1.863 Å, intensity 43

Cell and atoms:
```
data_Cs8Ga11
_chemical_formula_sum 'Cs48 Ga66'
_cell_length_a 10.0925
_cell_length_b 10.0925
_cell_length_c 51.8665
_cell_angle_alpha 90.00
_cell_angle_beta 90.00
_cell_angle_gamma 120.00
_space_group_name_H-M_alt 'R -3 c'
_space_group_IT_number 167
_space_group_name_Hall '-R 3 2"c'
loop_
_atom_site_label
_atom_site_type_symbol
_atom_site_fract_x
_atom_site_fract_y
_atom_site_fract_z
Cs1 Cs 0.0000 0.0000 0.0776
Cs2 Cs 0.0316 0.4045 0.3100
Ga1 Ga 0.0000 0.0000 0.2065
Ga2 Ga 0.0000 0.1877 0.2500
Ga3 Ga 0.0039 0.2556 0.7232
```

3.
The following is a calculated X-ray diffraction stick pattern of Cs2Ga17. It was derived from a DFT-relaxed cell (GGA-PBE, Alexandria), using copper Kα.
No peak broadening, texture or thermal motion is included.

The 8 most intense peaks (2θ = 10–80°), by angle:
hkl 1 1 3, 25.52 deg, d = 3.491 Å, intensity 25
hkl 3 0 0, 30.70 deg, d = 2.913 Å, intensity 34
hkl 0 2 4, 32.08 deg, d = 2.790 Å, intensity 34
hkl 2 2 0, 35.59 deg, d = 2.522 Å, intensity 74
hkl 3 0 3, 36.00 deg, d = 2.495 Å, intensity 100
hkl 0 0 6, 37.20 deg, d = 2.417 Å, intensity 55
hkl 2 2 3, 40.33 deg, d = 2.236 Å, intensity 47
hkl 3 2 4, 52.12 deg, d = 1.755 Å, intensity 25

Cell and atoms:
```
data_Cs2Ga17
_chemical_formula_sum 'Cs6 Ga51'
_cell_length_a 10.0899
_cell_length_b 10.0899
_cell_length_c 14.5046
_cell_angle_alpha 90.00
_cell_angle_beta 90.00
_cell_angle_gamma 120.00
_space_group_name_H-M_alt 'R -3 m'
_space_group_IT_number 166
_space_group_name_Hall '-R 3 2"'
loop_
_atom_site_label
_atom_site_type_symbol
_atom_site_fract_x
_atom_site_fract_y
_atom_site_fract_z
Cs1 Cs 0.0000 0.0000 0.1548
Ga1 Ga 0.0000 0.0000 0.4036
Ga2 Ga 0.0000 0.2823 0.5000
Ga3 Ga 0.0000 0.5000 0.0000
Ga4 Ga 0.0077 0.5038 0.3460
```